[1]
For Li3Cd7Au, a crystal structure in Alexandria, relaxed with GGA-PBE gives the simulated powder diffraction line list in this record (Cu Ka).
Lines closer than 0.1° are merged.

Largest 6 diffraction maxima, by angle, 10° ≤ 2θ ≤ 90°:
28.4°, I 274, (0 6 2); 29.5°, I 383, (1 3 1); 35.3°, I 1000, (1 1 3); 38.2°, I 391, (1 7 0); 39.0°, I 480, (1 7 1); 39.6°, I 331, (0 6 4)

Structure:
a b c (Å): 3.4540 22.5772 11.4265
angles (deg): 90.00 90.00 90.00
Space group Cmcm (No. 63)
Symmetry-distinct sites (fractional):
Li 0.0000 0.0789 0.0358 (multiplicity 8)
Li 0.0000 0.2236 0.7500 (multiplicity 4)
Cd 0.0000 0.2037 0.1098 (multiplicity 8)
Cd 0.0000 0.3382 0.0923 (multiplicity 8)
Cd 0.0000 0.3916 0.7500 (multiplicity 4)
Cd 0.0000 0.4868 0.1237 (multiplicity 8)
Au 0.0000 0.0960 0.7500 (multiplicity 4)



[2]
For Li3Cd4, a crystal structure in Alexandria, relaxed with GGA-PBE gives the simulated powder diffraction line list in this record (Cu Ka).
Lines closer than 0.1° are merged.

Largest 6 diffraction maxima, by angle, 10° ≤ 2θ ≤ 90°:
26.4°, I 819, (1 0 1); 31.7°, I 197, (0 0 8); 37.3°, I 564, (1 1 0); 38.4°, I 1000, (1 0 7); 49.8°, I 214, (1 1 8); 68.1°, I 456, (2 1 7)

Structure:
a b c (Å): 3.4080 3.4080 22.5715
angles (deg): 90.00 90.00 90.00
Space group I4/mmm (No. 139)
Symmetry-distinct sites (fractional):
Li 0.0000 0.0000 0.0000 (multiplicity 2)
Li 0.0000 0.0000 0.1393 (multiplicity 4)
Cd 0.0000 0.0000 0.2917 (multiplicity 4)
Cd 0.0000 0.0000 0.4303 (multiplicity 4)



[3]
For Zr3In2Pb, a crystal structure in Alexandria, relaxed with GGA-PBE gives the simulated powder diffraction line list in this record (Cu Ka).
Lines closer than 0.1° are merged.

Largest 6 diffraction maxima, by angle, 10° ≤ 2θ ≤ 90°:
33.0°, I 685, (2 0 0); 37.1°, I 1000, (1 3 1); 47.4°, I 246, (2 6 0); 61.7°, I 443, (3 3 1); 69.3°, I 117, (0 12 0); 78.9°, I 217, (4 6 0)

Structure:
a b c (Å): 5.4200 16.2870 3.1298
angles (deg): 90.00 90.00 90.00
Space group Cmmm (No. 65)
Symmetry-distinct sites (fractional):
Zr 0.0000 0.0000 0.0000 (multiplicity 2)
Zr 0.0000 0.3324 0.0000 (multiplicity 4)
In 0.0000 0.1671 0.5000 (multiplicity 4)
Pb 0.0000 0.5000 0.5000 (multiplicity 2)



[4]
For K2CaSnTe4, a crystal structure in Alexandria, relaxed with GGA-PBE gives the simulated powder diffraction line list in this record (Cu Ka).
Lines closer than 0.1° are merged.

Largest 6 diffraction maxima, by angle, 10° ≤ 2θ ≤ 90°:
14.4°, I 229, (1 1 0); 25.6°, I 1000, (2 1 1); 29.0°, I 323, (2 2 0); 30.8°, I 786, (2 0 2); 41.8°, I 243, (2 1 3); 44.4°, I 377, (4 1 1)

Structure:
a b c (Å): 8.7185 8.7185 7.7856
angles (deg): 90.00 90.00 90.00
Space group I-42m (No. 121)
Symmetry-distinct sites (fractional):
K 0.0000 0.5000 0.0000 (multiplicity 4)
Ca 0.0000 0.0000 0.0000 (multiplicity 2)
Sn 0.0000 0.0000 0.5000 (multiplicity 2)
Te 0.1810 0.1810 0.2812 (multiplicity 8)



[5]
For CeGd2As, a crystal structure in Alexandria, relaxed with GGA-PBE gives the simulated powder diffraction line list in this record (Cu Ka).
Lines closer than 0.1° are merged.

Largest 6 diffraction maxima, by angle, 10° ≤ 2θ ≤ 90°:
28.1°, I 195, (0 0 9); 29.5°, I 1000, (1 0 4); 31.0°, I 237, (0 1 5); 36.8°, I 321, (0 1 8); 47.1°, I 326, (1 1 0); 55.7°, I 175, (1 1 9)

Structure:
a b c (Å): 3.8598 3.8598 28.5587
angles (deg): 90.00 90.00 120.00
Space group R-3m (No. 166, hexagonal axes)
Symmetry-distinct sites (fractional):
Ce 0.0000 0.0000 0.0000 (multiplicity 3)
Gd 0.0000 0.0000 0.2290 (multiplicity 6)
As 0.0000 0.0000 0.5000 (multiplicity 3)



[6]
For TmGeW, a crystal structure in Alexandria, relaxed with GGA-PBE gives the simulated powder diffraction line list in this record (Cu Ka).
Lines closer than 0.1° are merged.

Largest 6 diffraction maxima, by angle, 10° ≤ 2θ ≤ 90°:
32.8°, I 392, (1 0 2); 34.6°, I 1000, (1 1 1); 35.2°, I 325, (0 0 3); 40.3°, I 723, (1 1 2); 46.6°, I 490, (2 0 0); 59.7°, I 287, (2 0 3)

Structure:
a b c (Å): 3.9016 3.9016 7.6537
angles (deg): 90.00 90.00 90.00
Space group P4/nmm (No. 129, origin choice 2)
Symmetry-distinct sites (fractional):
Tm 0.2500 0.2500 0.1444 (multiplicity 2)
Ge 0.2500 0.2500 0.7475 (multiplicity 2)
W 0.2500 0.7500 0.5000 (multiplicity 2)



[7]
For CaPrDyZn, a crystal structure in Alexandria, relaxed with GGA-PBE gives the simulated powder diffraction line list in this record (Cu Ka).
Lines closer than 0.1° are merged.

Largest 6 diffraction maxima, by angle, 10° ≤ 2θ ≤ 90°:
26.6°, I 267, (1 0 1); 31.5°, I 1000, (1 0 2); 35.3°, I 443, (1 1 0); 38.4°, I 139, (1 0 3); 50.7°, I 155, (2 0 0); 60.9°, I 296, (2 1 2)

Structure:
a b c (Å): 3.6006 3.6006 9.2782
angles (deg): 90.00 90.00 90.00
Space group P4mm (No. 99)
Symmetry-distinct sites (fractional):
Ca 0.0000 0.0000 0.0000 (multiplicity 1)
Pr 0.5000 0.5000 0.6718 (multiplicity 1)
Dy 0.0000 0.0000 0.3937 (multiplicity 1)
Zn 0.5000 0.5000 0.2109 (multiplicity 1)